(1)
Diffraction record for TlAu. The powder X-ray diffraction pattern is theoretical, not measured: it uses the GGA-PBE geometry in Alexandria and Cu Ka.

Crystal structure
```
TlAu
1.0
13.2717 0.0000 0.0000
0.0000 4.0598 0.0000
-2.6645 0.0000 5.5615
Tl Au
6 6
Direct
0.0000 0.0000 0.0000
0.0639 0.0000 0.5606
0.2219 0.5000 0.2231
0.5000 0.5000 0.0000
0.5639 0.5000 0.5606
0.7219 0.0000 0.2231
0.2476 0.5000 0.7365
0.3618 0.0000 0.1154
0.3766 0.0000 0.5976
0.7476 0.0000 0.7365
0.8618 0.5000 0.1154
0.8766 0.5000 0.5976
```

Most intense lines, 2θ = 10–90°, by angle:
d [Å]  2θ/deg  Rel. int.
2.846  31.44  100
2.781  32.19  16
2.700  33.18  13
2.418  37.18  41
2.391  37.62  41
2.186  41.29  19
2.109  42.88  16
2.063  43.90  12
2.030  44.64  25
1.541  60.05  13

(2)
Diffraction record for Tl4Au3. The powder X-ray diffraction pattern is theoretical, not measured: it uses the GGA-PBE geometry in Alexandria and Cu Ka.

Crystal structure
```
Tl4Au3
1.0
12.3106 0.0000 0.0000
-6.1553 10.6613 0.0000
0.0000 0.0000 4.1739
Tl Au
12 9
Direct
0.0028 0.2282 0.2570
0.1305 0.5120 0.7562
0.2254 0.9972 0.2570
0.2282 0.2254 0.7430
0.3814 0.8695 0.7562
0.4880 0.6186 0.7562
0.5120 0.3814 0.2438
0.6186 0.1305 0.2438
0.7718 0.7746 0.2570
0.7746 0.0028 0.7430
0.8695 0.4880 0.2438
0.9972 0.7718 0.7430
0.0000 0.0000 0.0000
0.1339 0.7169 0.2449
0.2831 0.4170 0.2449
0.3333 0.6667 0.2587
0.4170 0.1339 0.7551
0.5830 0.8661 0.2449
0.6667 0.3333 0.7413
0.7169 0.5830 0.7551
0.8661 0.2831 0.7551
```

Most intense lines, 2θ = 10–90°, by angle:
d [Å]  2θ/deg  Rel. int.
2.957  30.23  15
2.899  30.84  100
2.706  33.11  20
2.413  37.27  21
2.326  38.70  58
2.246  40.14  12
2.087  43.36  18
1.814  50.29  12
1.580  58.40  12
1.553  59.50  25